Calculated XRD peak list
Compound: CeCuGe2
Radiation: Cu Kα (λ = 1.5418 Å)
Structure: a cell relaxed with PBE
Neutral-atom scattering factors, no anomalous dispersion.

Top 6 peaks for 15° ≤ 2θ ≤ 90°, sorted by position:
| 2θ (°) | Rel. int. |
| --- | --- |
| 32.45 | 36.0 |
| 35.37 | 31.9 |
| 35.70 | 55.6 |
| 37.76 | 50.3 |
| 40.01 | 100.0 |
| 69.42 | 29.0 |

Crystal structure
Cell lengths 3.293, 20.301, 4.765 Å; angles 90.00, 90.00, 90.00 degrees
Positions (direct):
Ce 0.000 0.133 0.250
Ce 0.000 0.867 0.750
Ce 0.500 0.367 0.750
Ce 0.500 0.633 0.250
Cu 0.000 0.383 0.250
Cu 0.000 0.617 0.750
Cu 0.500 0.117 0.750
Cu 0.500 0.883 0.250
Ge 0.000 0.026 0.750
Ge 0.000 0.233 0.750
Ge 0.000 0.767 0.250
Ge 0.000 0.974 0.250
Ge 0.500 0.267 0.250
Ge 0.500 0.474 0.250
Ge 0.500 0.526 0.750
Ge 0.500 0.733 0.750

***

Calculated XRD peak list
Compound: Na2S
Radiation: Cu Kα (λ = 1.5418 Å)
Structure: a cell relaxed with PBE
Neutral-atom scattering factors, no anomalous dispersion.

Top 6 peaks for 15° ≤ 2θ ≤ 90°, sorted by position:
| 2θ (°) | Rel. int. |
| --- | --- |
| 32.20 | 62.0 |
| 32.45 | 23.0 |
| 34.21 | 100.0 |
| 38.27 | 51.7 |
| 41.57 | 45.7 |
| 43.71 | 25.5 |

Crystal structure
Cell lengths 7.144, 4.344, 8.392 Å; angles 90.00, 90.00, 90.00 degrees
Positions (direct):
Na 0.022 0.250 0.171
Na 0.149 0.250 0.573
Na 0.351 0.750 0.073
Na 0.478 0.750 0.671
Na 0.522 0.250 0.329
Na 0.649 0.250 0.927
Na 0.851 0.750 0.427
Na 0.978 0.750 0.829
S 0.246 0.750 0.388
S 0.254 0.250 0.888
S 0.746 0.750 0.112
S 0.754 0.250 0.612

***

Calculated XRD peak list
Compound: MnGa
Radiation: Cu Kα (λ = 1.5418 Å)
Structure: a cell relaxed with PBE
Neutral-atom scattering factors, no anomalous dispersion.

Top 6 peaks for 15° ≤ 2θ ≤ 90°, sorted by position:
| 2θ (°) | Rel. int. |
| --- | --- |
| 41.45 | 100.0 |
| 42.01 | 72.4 |
| 42.34 | 40.1 |
| 42.45 | 63.0 |
| 47.08 | 16.8 |
| 74.92 | 15.6 |

Crystal structure
Cell lengths 7.855, 7.855, 7.856 Å; angles 108.80, 108.80, 108.90 degrees
Positions (direct):
Mn 0.000 0.000 0.000
Mn 0.104 0.323 0.323
Mn 0.312 0.312 0.667
Mn 0.312 0.667 0.312
Mn 0.323 0.104 0.323
Mn 0.323 0.323 0.104
Mn 0.333 0.688 0.688
Mn 0.667 0.312 0.312
Mn 0.677 0.677 0.896
Mn 0.677 0.896 0.677
Mn 0.688 0.333 0.688
Mn 0.688 0.688 0.333
Mn 0.896 0.677 0.677
Ga 0.000 0.379 0.621
Ga 0.000 0.621 0.379
Ga 0.040 0.040 0.692
Ga 0.040 0.692 0.040
Ga 0.308 0.960 0.960
Ga 0.379 0.000 0.621
Ga 0.379 0.621 0.000
Ga 0.500 0.500 0.500
Ga 0.621 0.000 0.379
Ga 0.621 0.379 0.000
Ga 0.692 0.040 0.040
Ga 0.960 0.308 0.960
Ga 0.960 0.960 0.308